# 1
Theoretical powder diffractogram of OsRuN for Cu Ka, from a cell relaxed with GGA-PBE.

Principal peaks in the range 2θ = 15–90°, low angle first:
17.3°, intensity 23
20.7°, intensity 28
33.9°, intensity 26
34.9°, intensity 40
35.2°, intensity 45
39.8°, intensity 100
42.5°, intensity 52
45.7°, intensity 31
50.6°, intensity 28
64.3°, intensity 18

Structural model:
```
OsRuN
1.0
10.8247 0.0000 0.0000
0.0000 2.7574 0.0000
-1.6226 0.0000 4.9106
Os Ru N
4 4 4
Cartesian
0.0000 0.0000 0.0000 Os
0.0515 1.3787 2.1969 Os
5.4123 1.3787 0.0000 Os
5.4639 0.0000 2.1969 Os
1.8127 0.0000 3.7401 Ru
2.8206 1.3787 1.4111 Ru
7.2250 1.3787 3.7401 Ru
8.2329 0.0000 1.4111 Ru
1.9965 0.0000 0.1991 N
4.2228 1.3787 2.9280 N
7.4089 1.3787 0.1991 N
9.6351 0.0000 2.9280 N
```

# 2
Theoretical powder diffractogram of HoNi2P for Cu Ka, from a cell relaxed with GGA-PBE.

Principal peaks in the range 2θ = 15–90°, low angle first:
26.0°, intensity 62
34.1°, intensity 58
35.6°, intensity 46
39.2°, intensity 100
40.0°, intensity 80
48.1°, intensity 33
49.0°, intensity 57
64.5°, intensity 45
71.1°, intensity 20
85.5°, intensity 18

Structural model:
```
HoNi2P
1.0
3.7182 0.0000 0.0000
0.0000 3.7182 0.0000
0.0000 0.0000 8.7783
Ho Ni P
2 4 2
Cartesian
0.9295 0.9295 1.9713 Ho
2.7886 2.7886 6.8070 Ho
0.9295 0.9295 8.0148 Ni
0.9295 2.7886 4.3891 Ni
2.7886 0.9295 4.3891 Ni
2.7886 2.7886 0.7635 Ni
0.9295 0.9295 5.7256 P
2.7886 2.7886 3.0527 P
```

# 3
Theoretical powder diffractogram of ScPt3O6 for Cu Ka, from a cell relaxed with GGA-PBE.

Principal peaks in the range 2θ = 15–90°, low angle first:
15.5°, intensity 23
30.2°, intensity 18
31.3°, intensity 99
31.5°, intensity 100
36.0°, intensity 25
36.6°, intensity 48
52.3°, intensity 61
62.4°, intensity 28
62.8°, intensity 27
85.7°, intensity 18

Structural model:
```
ScPt3O6
1.0
3.4921 -4.9884 0.0000
3.4921 4.9884 0.0000
0.0000 0.0000 3.4606
Sc Pt O
1 3 6
Cartesian
0.0000 0.0000 0.0000 Sc
1.7461 2.4942 1.7303 Pt
1.7461 -2.4942 1.7303 Pt
3.4921 0.0000 0.0000 Pt
3.4921 3.5804 1.7303 O
1.9553 1.2766 0.0000 O
1.9553 -1.2766 0.0000 O
5.0289 1.2766 0.0000 O
5.0289 -1.2766 0.0000 O
3.4921 -3.5804 1.7303 O
```